# CdNiB
Theoretical powder diffractogram, Cu Kα. Input: the PBE geometry in OQMD.

```
CdNiB
1.0
5.5589 0.0000 0.0000
0.0000 5.5589 0.0000
0.0000 0.0000 5.5589
Cd Ni B
4 4 4
direct
0.0000 0.0000 0.0000
0.0000 0.5000 0.5000
0.5000 0.0000 0.5000
0.5000 0.5000 0.0000
0.2500 0.2500 0.7500
0.2500 0.7500 0.2500
0.7500 0.2500 0.2500
0.7500 0.7500 0.7500
0.0000 0.0000 0.5000
0.0000 0.5000 0.0000
0.5000 0.0000 0.0000
0.5000 0.5000 0.5000
```

Main lines, low angle first (2θ = 10–80°):
h k l, d/Å, I (rel.)
1 1 1, 3.209, 100
2 0 0, 2.779, 11
2 2 0, 1.965, 82
3 1 1, 1.676, 44
2 2 2, 1.605, 3
4 0 0, 1.390, 12
3 3 1, 1.275, 17
4 2 0, 1.243, 3



# CdB2O4
Theoretical powder diffractogram, Cu Kα. Input: the PBE geometry in OQMD.

```
CdB2O4
1.0
8.8723 0.0000 0.0000
-4.4361 7.6836 0.0000
0.0000 0.0000 7.1658
Cd B O
8 16 32
direct
0.0000 0.0000 0.0000
0.0000 0.0000 0.5000
0.0437 0.5235 0.4719
0.4765 0.5202 0.4719
0.4798 0.9563 0.4719
0.5202 0.0437 0.9719
0.5235 0.4798 0.9719
0.9563 0.4765 0.9719
0.1533 0.8245 0.7784
0.1540 0.8272 0.1646
0.1728 0.3267 0.1646
0.1755 0.3288 0.7784
0.3267 0.1540 0.6646
0.3288 0.1533 0.2784
0.3333 0.6667 0.1868
0.3333 0.6667 0.7988
0.6667 0.3333 0.2988
0.6667 0.3333 0.6868
0.6712 0.8467 0.7784
0.6733 0.8460 0.1646
0.8245 0.6712 0.2784
0.8272 0.6733 0.6646
0.8460 0.1728 0.6646
0.8467 0.1755 0.2784
0.0045 0.8184 0.2631
0.0080 0.7099 0.6516
0.0922 0.7622 0.9710
0.1816 0.1862 0.2631
0.1862 0.0045 0.7631
0.1883 0.4968 0.7279
0.2102 0.7185 0.2653
0.2378 0.3299 0.9710
0.2815 0.4917 0.2653
0.2901 0.2981 0.6516
0.2981 0.0080 0.1516
0.3085 0.8117 0.7279
0.3299 0.0922 0.4710
0.3333 0.6667 0.9941
0.4917 0.2102 0.7653
0.4968 0.3085 0.2279
0.5032 0.6915 0.7279
0.5083 0.7898 0.2653
0.6667 0.3333 0.4941
0.6701 0.9078 0.9710
0.6915 0.1883 0.2279
0.7019 0.9920 0.6516
0.7099 0.7019 0.1516
0.7185 0.5083 0.7653
0.7622 0.6701 0.4710
0.7898 0.2815 0.7653
0.8117 0.5032 0.2279
0.8138 0.9955 0.2631
0.8184 0.8138 0.7631
0.9078 0.2378 0.4710
0.9920 0.2901 0.1516
0.9955 0.1816 0.7631
```

Main lines, low angle first (2θ = 10–80°):
h k l, d/Å, I (rel.)
2 0 0, 3.842, 69
0 0 2, 3.583, 15
1 2 1, 2.691, 23
2 0 2, 2.620, 100
3 0 1, 2.412, 11
2 2 0, 2.218, 23
4 0 0, 1.921, 16
2 2 2, 1.886, 33
3 2 1, 1.712, 11
4 0 2, 1.693, 11
2 0 4, 1.624, 16
2 4 2, 1.346, 11



# Cd3B4Pb3O12
Theoretical powder diffractogram, Cu Kα. Input: the PBE geometry in OQMD.

```
Cd3B4Pb3O12
1.0
9.9251 0.0000 0.0000
-4.9626 8.5954 0.0000
0.0000 0.0000 7.0224
Cd B Pb O
6 8 6 24
direct
0.0000 0.5000 0.0000
0.0000 0.5000 0.5000
0.5000 0.0000 0.0000
0.5000 0.0000 0.5000
0.5000 0.5000 0.0000
0.5000 0.5000 0.5000
0.1908 0.7981 0.2500
0.2019 0.3927 0.2500
0.3333 0.6667 0.7500
0.3927 0.1908 0.7500
0.6073 0.8092 0.2500
0.6667 0.3333 0.2500
0.7981 0.6073 0.7500
0.8092 0.2019 0.7500
0.1314 0.2764 0.7500
0.1449 0.8686 0.7500
0.2764 0.1449 0.2500
0.7236 0.8551 0.7500
0.8551 0.1314 0.2500
0.8686 0.7236 0.2500
0.1038 0.7578 0.0821
0.1038 0.7578 0.4179
0.1152 0.4639 0.2500
0.1870 0.5336 0.7500
0.2422 0.3460 0.0821
0.2422 0.3460 0.4179
0.3460 0.1038 0.5821
0.3460 0.1038 0.9179
0.3466 0.8130 0.7500
0.3487 0.8848 0.2500
0.4639 0.3487 0.7500
0.4664 0.6534 0.7500
0.5336 0.3466 0.2500
0.5361 0.6513 0.2500
0.6513 0.1152 0.7500
0.6534 0.1870 0.2500
0.6540 0.8962 0.0821
0.6540 0.8962 0.4179
0.7578 0.6540 0.5821
0.7578 0.6540 0.9179
0.8130 0.4664 0.2500
0.8848 0.5361 0.7500
0.8962 0.2422 0.5821
0.8962 0.2422 0.9179
```

Main lines, low angle first (2θ = 10–80°):
h k l, d/Å, I (rel.)
1 1 0, 4.963, 53
2 0 1, 3.666, 89
1 0 2, 3.250, 62
2 1 1, 2.949, 63
2 0 2, 2.719, 100
3 0 1, 2.653, 44
2 2 0, 2.481, 64
2 0 3, 2.055, 41
2 3 0, 1.972, 25
4 0 2, 1.833, 30
3 0 3, 1.812, 28
2 3 2, 1.719, 64